Diffraction record for InBi2P2Pd7. The powder XRD pattern is simulated, not measured: it uses a crystal structure in Alexandria, relaxed with GGA-PBE and λ = 1.5418 Å (Cu Kα).
No peak broadening, texture or thermal motion is included.

Structural model:
```
InBi2P2Pd7
1.0
2.8114 -2.8128 0.0000
2.8114 2.8128 0.0000
-2.7953 0.0000 14.8665
In Bi P Pd
1 2 2 7
Cartesian
0.0000 0.0000 0.0000
0.0010 0.0000 6.2800
2.8264 0.0000 8.5865
0.0224 0.0000 11.4755
2.8050 0.0000 3.3910
1.3971 1.4055 2.1343
0.0120 0.0000 9.1582
1.4303 1.4055 12.7322
2.8114 0.0000 0.0000
1.3971 -1.4055 2.1343
2.8154 0.0000 5.7083
1.4303 -1.4055 12.7322
```

Peak list (6 most intense, 5 to 70 degrees two-theta, by intensity)
2θ (°), I (rel.)
45.62, 100.0
36.75, 92.1
32.40, 89.9
44.34, 87.6
11.91, 72.4
34.09, 68.2

---

Diffraction record for PaIn2Bi3. The powder XRD pattern is simulated, not measured: it uses a crystal structure in Alexandria, relaxed with GGA-PBE and λ = 1.5418 Å (Cu Kα).
No peak broadening, texture or thermal motion is included.

Structural model:
```
PaIn2Bi3
1.0
5.0901 0.0000 0.0000
0.0000 15.6777 0.0000
0.0000 0.0000 4.2956
Pa In Bi
2 4 6
Cartesian
0.0000 0.0000 0.0000
2.5451 7.8389 0.0000
0.0000 5.3458 0.0000
0.0000 10.3319 0.0000
2.5451 2.4930 0.0000
2.5451 13.1847 0.0000
0.0000 2.6341 2.1478
0.0000 7.8389 2.1478
0.0000 13.0437 2.1478
2.5451 0.0000 2.1478
2.5451 5.2048 2.1478
2.5451 10.4729 2.1478
```

Peak list (6 most intense, 5 to 70 degrees two-theta, by intensity)
2θ (°), I (rel.)
32.20, 100.0
34.32, 20.9
35.26, 19.8
60.13, 16.6
61.37, 16.2
50.03, 14.6

---

Diffraction record for In2Bi4Pb5. The powder XRD pattern is simulated, not measured: it uses a crystal structure in Alexandria, relaxed with GGA-PBE and λ = 1.5418 Å (Cu Kα).
No peak broadening, texture or thermal motion is included.

Structural model:
```
In2Bi4Pb5
1.0
5.1885 0.0000 0.0000
-0.1133 7.9772 0.0000
-2.4542 -2.6986 8.3408
In Bi Pb
2 4 5
Cartesian
0.0022 2.3215 3.0402
2.6188 2.9570 5.3006
-0.1160 7.2309 1.5587
0.0458 0.7771 5.9769
2.5752 4.5014 2.3640
2.7369 -1.9524 6.7822
-0.0567 3.9886 0.0000
-0.0117 5.4966 4.5384
0.0552 3.7029 7.6534
2.5658 1.5756 0.6875
2.6327 -0.2181 3.8024
```

Peak list (6 most intense, 5 to 70 degrees two-theta, by intensity)
2θ (°), I (rel.)
30.73, 100.0
30.87, 98.5
31.06, 97.8
31.23, 96.4
34.58, 75.4
35.38, 65.8

---

Diffraction record for InBi4Pb8. The powder XRD pattern is simulated, not measured: it uses a crystal structure in Alexandria, relaxed with GGA-PBE and λ = 1.5418 Å (Cu Kα).
No peak broadening, texture or thermal motion is included.

Structural model:
```
InBi4Pb8
1.0
3.4892 0.0000 0.0000
0.0000 5.4437 0.0000
-0.9038 0.0000 22.5722
In Bi Pb
1 4 8
Cartesian
0.0000 0.0000 0.0000
0.3559 2.7218 10.6766
0.9557 0.0000 16.1544
0.8985 2.7218 21.3813
1.8995 0.0000 6.2213
-0.0796 0.0000 3.2296
0.2048 2.7218 7.3688
0.6130 0.0000 12.8698
0.6160 0.0000 19.4986
1.6908 2.7218 2.0569
2.0877 0.0000 9.5171
2.2793 2.7218 14.1803
2.2868 2.7218 17.6635
```

Peak list (6 most intense, 5 to 70 degrees two-theta, by intensity)
2θ (°), I (rel.)
32.27, 100.0
30.85, 84.9
32.91, 68.0
31.22, 51.4
28.85, 29.1
34.36, 23.8

---

Diffraction record for In2Bi2Pb5. The powder XRD pattern is simulated, not measured: it uses a crystal structure in Alexandria, relaxed with GGA-PBE and λ = 1.5418 Å (Cu Kα).
No peak broadening, texture or thermal motion is included.

Structural model:
```
In2Bi2Pb5
1.0
8.0095 -2.7066 0.0000
8.0095 2.7066 0.0000
-2.7970 0.0000 6.4515
In Bi Pb
2 2 5
Cartesian
2.6638 0.0000 2.0532
10.5582 0.0000 4.3983
2.7394 0.0000 6.4495
10.4827 0.0000 0.0020
0.0000 0.0000 0.0000
0.0403 0.0000 4.3561
5.1614 0.0000 4.2052
8.0606 0.0000 2.2463
13.1817 0.0000 2.0954
```

Peak list (6 most intense, 5 to 70 degrees two-theta, by intensity)
2θ (°), I (rel.)
31.18, 100.0
31.63, 94.2
33.10, 43.7
33.57, 38.6
58.23, 32.0
47.86, 29.0

---

Diffraction record for In4BiPb10. The powder XRD pattern is simulated, not measured: it uses a crystal structure in Alexandria, relaxed with GGA-PBE and λ = 1.5418 Å (Cu Kα).
No peak broadening, texture or thermal motion is included.

Structural model:
```
In4BiPb10
1.0
-5.8189 5.8189 3.8444
5.8189 -5.8189 3.8444
5.8189 5.8189 -3.8444
In Bi Pb
4 1 10
Cartesian
3.5749 1.2153 0.0000
4.6037 -2.2440 3.8444
1.2153 8.0629 0.0000
2.2440 4.6037 3.8444
0.0000 0.0000 3.8444
4.6241 3.4492 -2.0502
2.3697 -1.1948 1.7941
5.8189 0.0000 1.9222
3.4492 7.0137 -2.0502
1.1948 2.3697 1.7941
4.6241 3.4492 2.0502
2.3697 -1.1948 5.8946
0.0000 5.8189 1.9222
3.4492 7.0137 2.0502
1.1948 2.3697 5.8946
```

Peak list (6 most intense, 5 to 70 degrees two-theta, by intensity)
2θ (°), I (rel.)
33.71, 100.0
34.46, 48.4
61.26, 35.9
24.18, 30.1
20.61, 22.8
59.82, 18.2